# 1
Starting from DFT lattice parameters and positions (PBE), the X-ray powder pattern of NdZn5Cd7 was simulated for Cu Ka.
Kinematic intensities with the Lorentz-polarization factor, no thermal factor.

Atomic structure:
Cell lengths 7.3270, 7.3270, 7.3270 Å; angles 134.63, 99.02, 98.09 degrees
Sites, in units of the cell vectors:
Nd (0.0000, 0.0000, 0.0000)
Zn (0.5146, 0.0065, 0.0092)
Zn (0.5146, 0.5054, 0.5080)
Zn (0.7831, 0.2831, 0.5000)
Zn (0.9973, 0.0065, 0.4920)
Zn (0.9973, 0.5054, 0.9908)
Cd (0.2128, 0.5033, 0.7095)
Cd (0.2257, 0.7257, 0.5000)
Cd (0.3483, 0.3483, 0.0000)
Cd (0.3536, 0.0068, 0.3468)
Cd (0.6551, 0.6551, 0.0000)
Cd (0.6599, 0.0068, 0.6532)
Cd (0.7938, 0.5033, 0.2905)

The 10 most intense peaks (10° ≤ 2θ ≤ 90°), by intensity:
d (Å), Rel. int.
2.403, 1000
2.397, 728
2.433, 717
2.168, 639
2.766, 461
2.826, 406
1.536, 329
2.786, 311
2.379, 287
1.386, 210

# 2
Starting from DFT lattice parameters and positions (PBE), the X-ray powder pattern of La4TbNd10 was simulated for Cu Ka.
Kinematic intensities with the Lorentz-polarization factor, no thermal factor.

Atomic structure:
Cell lengths 9.1791, 9.1791, 9.1791 Å; angles 101.09, 101.09, 127.97 degrees
Sites, in units of the cell vectors:
La (0.2266, 0.2266, 0.4531)
La (0.2266, 0.7734, 0.0000)
La (0.7734, 0.2266, 0.0000)
La (0.7734, 0.7734, 0.5469)
Tb (0.0000, 0.0000, 0.0000)
Nd (0.0803, 0.2902, 0.7901)
Nd (0.2500, 0.7500, 0.5000)
Nd (0.2902, 0.0803, 0.7901)
Nd (0.2902, 0.5001, 0.2099)
Nd (0.5001, 0.2902, 0.2099)
Nd (0.4999, 0.7098, 0.7901)
Nd (0.7098, 0.4999, 0.7901)
Nd (0.7098, 0.9197, 0.2099)
Nd (0.7500, 0.2500, 0.5000)
Nd (0.9197, 0.7098, 0.2099)

The 10 most intense peaks (10° ≤ 2θ ≤ 90°), by intensity:
d (Å), Rel. int.
2.916, 1000
2.881, 954
3.002, 498
2.271, 478
3.313, 452
2.720, 415
1.441, 325
1.432, 320
2.063, 270
2.615, 267

# 3
Starting from DFT lattice parameters and positions (PBE), the X-ray powder pattern of CsMgTa was simulated for Cu Ka.
Kinematic intensities with the Lorentz-polarization factor, no thermal factor.

Atomic structure:
Cell lengths 3.4616, 4.8988, 13.7331 Å; angles 90.52, 90.72, 90.00 degrees
Sites, in units of the cell vectors:
Cs (0.0000, 0.0000, 0.0000)
Cs (0.4705, 0.4990, 0.3549)
Mg (0.4928, 0.4951, 0.7818)
Mg (0.9839, 0.4901, 0.6056)
Ta (0.4835, 0.9900, 0.5982)
Ta (0.9909, 0.9939, 0.7420)

The 10 most intense peaks (10° ≤ 2θ ≤ 90°), by intensity:
d (Å), Rel. int.
2.451, 1000
4.627, 859
4.601, 755
4.577, 699
4.899, 691
2.422, 671
2.746, 519
1.729, 485
3.366, 443
3.971, 440

# 4
Starting from DFT lattice parameters and positions (PBE), the X-ray powder pattern of Li2GeBr6 was simulated for Cu Ka.
Kinematic intensities with the Lorentz-polarization factor, no thermal factor.

Atomic structure:
Cell lengths 10.5685, 10.5685, 6.2887 Å; angles 107.20, 107.20, 91.76 degrees
Sites, in units of the cell vectors:
Li (0.1771, 0.3135, 0.0076)
Li (0.3135, 0.1771, 0.5076)
Li (0.6865, 0.8229, 0.4924)
Li (0.8229, 0.6865, 0.9924)
Ge (0.2535, 0.7465, 0.2500)
Ge (0.7465, 0.2535, 0.7500)
Br (0.0699, 0.7348, 0.9248)
Br (0.1603, 0.3305, 0.6228)
Br (0.2399, 0.5612, 0.3759)
Br (0.2652, 0.9301, 0.5752)
Br (0.3305, 0.1603, 0.1228)
Br (0.4388, 0.7601, 0.1241)
Br (0.5612, 0.2399, 0.8759)
Br (0.6695, 0.8397, 0.8772)
Br (0.7348, 0.0699, 0.4248)
Br (0.7601, 0.4388, 0.6241)
Br (0.8397, 0.6695, 0.3772)
Br (0.9301, 0.2652, 0.0752)

The 10 most intense peaks (10° ≤ 2θ ≤ 90°), by intensity:
d (Å), Rel. int.
3.272, 1000
5.005, 453
3.156, 415
4.378, 297
7.587, 262
2.014, 238
3.941, 177
3.000, 163
1.971, 123
2.544, 115

# 5
Starting from DFT lattice parameters and positions (PBE), the X-ray powder pattern of Mg4As6Rh7 was simulated for Cu Ka.
Kinematic intensities with the Lorentz-polarization factor, no thermal factor.

Atomic structure:
Cell lengths 7.0626, 7.0626, 7.0626 Å; angles 109.47, 109.47, 109.47 degrees
Sites, in units of the cell vectors:
Mg (0.0000, 0.0000, 0.5000)
Mg (0.0000, 0.5000, 0.0000)
Mg (0.5000, 0.0000, 0.0000)
Mg (0.5000, 0.5000, 0.5000)
As (0.0000, 0.3137, 0.3137)
As (0.0000, 0.6863, 0.6863)
As (0.3137, 0.0000, 0.3137)
As (0.3137, 0.3137, 0.0000)
As (0.6863, 0.0000, 0.6863)
As (0.6863, 0.6863, 0.0000)
Rh (0.0000, 0.0000, 0.0000)
Rh (0.2500, 0.5000, 0.7500)
Rh (0.2500, 0.7500, 0.5000)
Rh (0.5000, 0.2500, 0.7500)
Rh (0.5000, 0.7500, 0.2500)
Rh (0.7500, 0.2500, 0.5000)
Rh (0.7500, 0.5000, 0.2500)

The 10 most intense peaks (10° ≤ 2θ ≤ 90°), by intensity:
d (Å), Rel. int.
2.354, 1000
2.039, 702
4.078, 616
2.180, 449
1.442, 332
1.739, 318
1.229, 211
1.202, 198
1.922, 196
1.110, 180

# 6
Starting from DFT lattice parameters and positions (PBE), the X-ray powder pattern of BaZr4P6O24 was simulated for Cu Ka.
Kinematic intensities with the Lorentz-polarization factor, no thermal factor.

Atomic structure:
Cell lengths 9.5576, 9.5576, 9.5576 Å; angles 55.03, 55.03, 55.03 degrees
Sites, in units of the cell vectors:
Ba (0.0000, 0.0000, 0.0000)
Zr (0.1513, 0.1513, 0.1513)
Zr (0.3534, 0.3534, 0.3534)
Zr (0.6466, 0.6466, 0.6466)
Zr (0.8487, 0.8487, 0.8487)
P (0.0318, 0.7533, 0.4600)
P (0.2467, 0.5400, 0.9682)
P (0.4600, 0.0318, 0.7533)
P (0.5400, 0.9682, 0.2467)
P (0.7533, 0.4600, 0.0318)
P (0.9682, 0.2467, 0.5400)
O (0.0032, 0.7780, 0.6217)
O (0.0861, 0.9123, 0.2802)
O (0.0877, 0.7198, 0.9139)
O (0.1454, 0.2373, 0.5201)
O (0.1863, 0.5685, 0.4471)
O (0.2220, 0.3783, 0.9968)
O (0.2373, 0.5201, 0.1454)
O (0.2802, 0.0861, 0.9123)
O (0.3783, 0.9968, 0.2220)
O (0.4315, 0.5529, 0.8137)
O (0.4471, 0.1863, 0.5685)
O (0.4799, 0.8546, 0.7627)
O (0.5201, 0.1454, 0.2373)
O (0.5529, 0.8137, 0.4315)
O (0.5685, 0.4471, 0.1863)
O (0.6217, 0.0032, 0.7780)
O (0.7198, 0.9139, 0.0877)
O (0.7627, 0.4799, 0.8546)
O (0.7780, 0.6217, 0.0032)
O (0.8137, 0.4315, 0.5529)
O (0.8546, 0.7627, 0.4799)
O (0.9123, 0.2802, 0.0861)
O (0.9139, 0.0877, 0.7198)
O (0.9968, 0.2220, 0.3783)

The 10 most intense peaks (10° ≤ 2θ ≤ 90°), by intensity:
d (Å), Rel. int.
2.981, 1000
4.415, 922
3.875, 672
2.549, 333
1.938, 319
7.294, 310
1.669, 242
4.751, 219
3.234, 216
1.543, 185